Diffraction record for HgAs3Se. The X-ray powder pattern is theoretical, not measured: it uses the GGA-PBE geometry in Alexandria and Cu Kα X-rays.

Principal peaks in the range 5 to 70 degrees two-theta, sorted by position:
2theta	intensity	h k l
17.44	3	1 0 0
24.76	77	1 1 0
30.45	94	1 1 1
35.30	100	2 0 0
43.60	35	2 1 1
50.79	71	2 2 0
57.30	16	3 1 0
60.38	40	3 1 1
63.37	24	2 2 2
69.12	18	3 2 1

Structure:
```
data_HgAs3Se
_chemical_formula_sum 'Hg1 As3 Se1'
_cell_length_a 5.0846
_cell_length_b 5.0846
_cell_length_c 5.0846
_cell_angle_alpha 90.00
_cell_angle_beta 90.00
_cell_angle_gamma 90.00
_space_group_name_H-M_alt 'P m -3 m'
_space_group_IT_number 221
_space_group_name_Hall '-P 4 2 3'
loop_
_atom_site_label
_atom_site_type_symbol
_atom_site_fract_x
_atom_site_fract_y
_atom_site_fract_z
Hg1 Hg 0.0000 0.0000 0.0000
As1 As 0.0000 0.5000 0.5000
Se1 Se 0.5000 0.5000 0.5000
```